1.
Structure and calculated X-ray powder pattern of CeCd3 (a DFT-relaxed cell (PBE, the Materials Project); Cu Kα, 1.54184 Å).

Most intense lines, 2θ from 5° to 70°, low angle first:
- 2θ 21.00, I = 6
- 2θ 34.63, I = 1000
- 2θ 49.78, I = 174
- 2θ 62.06, I = 351

Structural model:
Lattice parameters (Å, degrees): 5.1803 5.1803 5.1803 60.00 60.00 60.00
Element x y z (fractional)
Ce  0.0000  0.0000  0.0000
Cd  0.2500  0.2500  0.2500
Cd  0.5000  0.5000  0.5000
Cd  0.7500  0.7500  0.7500


2.
Structure and calculated X-ray powder pattern of La10MgTi7O30 (a DFT-relaxed cell (PBE, the Materials Project); Cu Kα, 1.54184 Å).

Most intense lines, 2θ from 5° to 70°, low angle first:
- 2θ 19.97, I = 212
- 2θ 24.36, I = 221
- 2θ 30.37, I = 1000
- 2θ 31.94, I = 850
- 2θ 37.96, I = 130
- 2θ 40.59, I = 298
- 2θ 44.66, I = 550
- 2θ 52.57, I = 145
- 2θ 52.96, I = 170
- 2θ 55.95, I = 374
- 2θ 56.92, I = 214
- 2θ 66.77, I = 147

Structural model:
Lattice parameters (Å, degrees): 5.6038 5.6038 22.2059 90.00 90.00 120.00
Element x y z (fractional)
La  0.0000  0.0000  0.0000
La  0.0000  0.0000  0.1721
La  0.0000  0.0000  0.4860
La  0.0000  0.0000  0.6711
La  0.3333  0.6667  0.0768
La  0.3333  0.6667  0.3850
La  0.3333  0.6667  0.5627
La  0.3333  0.6667  0.8910
La  0.6667  0.3333  0.2755
La  0.6667  0.3333  0.7807
Mg  0.3333  0.6667  0.2290
Ti  0.0000  0.0000  0.3284
Ti  0.0000  0.0000  0.8337
Ti  0.3333  0.6667  0.7277
Ti  0.6667  0.3333  0.1243
Ti  0.6667  0.3333  0.4383
Ti  0.6667  0.3333  0.6196
Ti  0.6667  0.3333  0.9415
O  0.0063  0.4310  0.4781
O  0.0056  0.5706  0.9758
O  0.0966  0.3254  0.2832
O  0.1052  0.7721  0.7799
O  0.2279  0.3331  0.7799
O  0.2288  0.9034  0.2832
O  0.3250  0.0872  0.0822
O  0.3278  0.2330  0.5845
O  0.3337  0.2311  0.3826
O  0.3356  0.1081  0.8773
O  0.4247  0.9937  0.4781
O  0.4294  0.4351  0.9758
O  0.4387  0.4254  0.1790
O  0.4404  0.0017  0.6825
O  0.5613  0.5596  0.6825
O  0.5649  0.9944  0.9758
O  0.5690  0.5753  0.4781
O  0.5746  0.0132  0.1790
O  0.6669  0.8948  0.7799
O  0.6746  0.7712  0.2832
O  0.7622  0.6750  0.0822
O  0.7670  0.0949  0.5845
O  0.7689  0.1027  0.3826
O  0.7724  0.6644  0.8773
O  0.8919  0.2276  0.8773
O  0.8973  0.6663  0.3826
O  0.9051  0.6722  0.5845
O  0.9128  0.2378  0.0822
O  0.9868  0.5613  0.1790
O  0.9983  0.4387  0.6825


3.
Structure and calculated X-ray powder pattern of CuBiO2 (a DFT-relaxed cell (PBE, the Materials Project); Cu Kα, 1.54184 Å).

Most intense lines, 2θ from 5° to 70°, low angle first:
- 2θ 16.03, I = 597
- 2θ 26.82, I = 243
- 2θ 28.70, I = 233
- 2θ 29.02, I = 243
- 2θ 29.57, I = 1000
- 2θ 29.72, I = 458
- 2θ 32.38, I = 208
- 2θ 36.21, I = 421
- 2θ 47.97, I = 178
- 2θ 50.19, I = 168
- 2θ 51.88, I = 216
- 2θ 55.92, I = 243

Structural model:
Lattice parameters (Å, degrees): 6.1562 3.6353 6.6940 90.00 116.07 90.00
Element x y z (fractional)
Cu  0.0275  0.2500  0.1684
Cu  0.9725  0.7500  0.8316
Bi  0.4321  0.2500  0.7354
Bi  0.5679  0.7500  0.2646
O  0.2990  0.7500  0.9112
O  0.3603  0.2500  0.3041
O  0.6397  0.7500  0.6959
O  0.7010  0.2500  0.0888


4.
Structure and calculated X-ray powder pattern of Sn2GeTe3 (a DFT-relaxed cell (PBE, the Materials Project); Cu Kα, 1.54184 Å).

Most intense lines, 2θ from 5° to 70°, low angle first:
- 2θ 24.60, I = 25
- 2θ 28.39, I = 1000
- 2θ 33.86, I = 25
- 2θ 40.41, I = 368
- 2θ 40.77, I = 381
- 2θ 49.81, I = 62
- 2θ 50.43, I = 205
- 2θ 58.75, I = 123
- 2θ 59.27, I = 21
- 2θ 64.13, I = 14
- 2θ 66.26, I = 160
- 2θ 66.77, I = 177

Structural model:
Lattice parameters (Å, degrees): 4.4263 4.4263 10.9835 90.00 90.00 120.00
Element x y z (fractional)
Sn  0.3333  0.6667  0.3271
Sn  0.6667  0.3333  0.6729
Ge  0.0000  0.0000  0.0000
Te  0.0000  0.0000  0.5000
Te  0.3333  0.6667  0.8481
Te  0.6667  0.3333  0.1519


5.
Structure and calculated X-ray powder pattern of NdNi4Sn2 (a DFT-relaxed cell (PBE, the Materials Project); Cu Kα, 1.54184 Å).

Most intense lines, 2θ from 5° to 70°, low angle first:
- 2θ 27.67, I = 296
- 2θ 28.08, I = 152
- 2θ 32.22, I = 368
- 2θ 32.70, I = 134
- 2θ 36.69, I = 935
- 2θ 42.89, I = 1000
- 2θ 49.91, I = 154
- 2θ 52.85, I = 118
- 2θ 55.34, I = 140
- 2θ 59.81, I = 106
- 2θ 60.33, I = 121
- 2θ 68.52, I = 94

Structural model:
Lattice parameters (Å, degrees): 6.7750 6.7750 6.7750 110.26 110.26 107.90
Element x y z (fractional)
Nd  0.2500  0.2500  0.0000
Nd  0.7500  0.7500  0.0000
Ni  0.0262  0.5262  0.2222
Ni  0.1960  0.9738  0.5000
Ni  0.3040  0.8040  0.7778
Ni  0.4738  0.6960  0.5000
Ni  0.5262  0.3040  0.5000
Ni  0.6960  0.1960  0.2222
Ni  0.8040  0.0262  0.5000
Ni  0.9738  0.4738  0.7778
Sn  0.1585  0.3415  0.5000
Sn  0.3415  0.8415  0.1830
Sn  0.6585  0.1585  0.8170
Sn  0.8415  0.6585  0.5000


6.
Structure and calculated X-ray powder pattern of La2Ni7 (a DFT-relaxed cell (PBE, the Materials Project); Cu Kα, 1.54184 Å).

Most intense lines, 2θ from 5° to 70°, low angle first:
- 2θ 32.76, I = 602
- 2θ 35.74, I = 490
- 2θ 41.51, I = 123
- 2θ 41.68, I = 324
- 2θ 42.19, I = 1000
- 2θ 44.20, I = 157
- 2θ 45.60, I = 235
- 2θ 62.34, I = 186
- 2θ 64.22, I = 100
- 2θ 64.76, I = 105
- 2θ 65.38, I = 157
- 2θ 68.65, I = 259

Structural model:
Lattice parameters (Å, degrees): 5.0243 5.0243 24.5903 90.00 90.00 120.00
Element x y z (fractional)
La  0.3333  0.6667  0.0305
La  0.3333  0.6667  0.1742
La  0.3333  0.6667  0.3258
La  0.3333  0.6667  0.4695
La  0.6667  0.3333  0.5305
La  0.6667  0.3333  0.6742
La  0.6667  0.3333  0.8258
La  0.6667  0.3333  0.9695
Ni  0.0000  0.0000  0.0000
Ni  0.0000  0.0000  0.1689
Ni  0.0000  0.0000  0.3311
Ni  0.0000  0.0000  0.5000
Ni  0.0000  0.0000  0.6689
Ni  0.0000  0.0000  0.8311
Ni  0.1663  0.3325  0.5874
Ni  0.1663  0.3325  0.9126
Ni  0.1663  0.8337  0.5874
Ni  0.1663  0.8337  0.9126
Ni  0.1671  0.3342  0.7500
Ni  0.1671  0.8329  0.7500
Ni  0.3325  0.1663  0.0874
Ni  0.3325  0.1663  0.4126
Ni  0.3333  0.6667  0.6680
Ni  0.3333  0.6667  0.8320
Ni  0.3342  0.1671  0.2500
Ni  0.6658  0.8329  0.7500
Ni  0.6667  0.3333  0.1680
Ni  0.6667  0.3333  0.3320
Ni  0.6675  0.8337  0.5874
Ni  0.6675  0.8337  0.9126
Ni  0.8329  0.1671  0.2500
Ni  0.8329  0.6658  0.2500
Ni  0.8337  0.1663  0.0874
Ni  0.8337  0.1663  0.4126
Ni  0.8337  0.6675  0.0874
Ni  0.8337  0.6675  0.4126


7.
Structure and calculated X-ray powder pattern of SrMgCuO2 (a DFT-relaxed cell (PBE, the Materials Project); Cu Kα, 1.54184 Å).

Most intense lines, 2θ from 5° to 70°, low angle first:
- 2θ 14.37, I = 912
- 2θ 27.12, I = 950
- 2θ 30.59, I = 665
- 2θ 35.56, I = 593
- 2θ 37.23, I = 607
- 2θ 38.54, I = 728
- 2θ 39.91, I = 1000
- 2θ 44.07, I = 216
- 2θ 46.73, I = 351
- 2θ 55.35, I = 204
- 2θ 56.89, I = 217
- 2θ 63.10, I = 464

Structural model:
Lattice parameters (Å, degrees): 3.3196 3.8875 6.1649 90.00 90.00 90.00
Element x y z (fractional)
Sr  0.0000  0.0000  0.0000
Mg  0.0000  0.5000  0.4063
Cu  0.5000  0.5000  0.7209
O  0.5000  0.0000  0.7218
O  0.5000  0.5000  0.2101


8.
Structure and calculated X-ray powder pattern of Rb3Tl (a DFT-relaxed cell (PBE, the Materials Project); Cu Kα, 1.54184 Å).

Most intense lines, 2θ from 5° to 70°, low angle first:
- 2θ 15.91, I = 158
- 2θ 24.70, I = 1000
- 2θ 28.31, I = 178
- 2θ 28.75, I = 341
- 2θ 40.78, I = 264
- 2θ 41.10, I = 129
- 2θ 47.98, I = 165
- 2θ 48.55, I = 318
- 2θ 50.66, I = 140
- 2θ 64.99, I = 133
- 2θ 65.45, I = 65
- 2θ 66.52, I = 62

Structural model:
Lattice parameters (Å, degrees): 7.6845 7.6845 7.6845 132.33 132.33 69.71
Element x y z (fractional)
Rb  0.0000  0.0000  0.0000
Rb  0.2500  0.7500  0.5000
Rb  0.7500  0.2500  0.5000
Tl  0.5000  0.5000  0.0000


9.
Structure and calculated X-ray powder pattern of BaCaC2O6 (a DFT-relaxed cell (PBE, the Materials Project); Cu Kα, 1.54184 Å).

Most intense lines, 2θ from 5° to 70°, low angle first:
- 2θ 10.93, I = 190
- 2θ 20.12, I = 327
- 2θ 21.86, I = 395
- 2θ 22.16, I = 203
- 2θ 27.80, I = 1000
- 2θ 27.91, I = 428
- 2θ 34.53, I = 268
- 2θ 37.34, I = 242
- 2θ 40.99, I = 240
- 2θ 43.74, I = 199
- 2θ 44.55, I = 286
- 2θ 45.61, I = 195

Structural model:
Lattice parameters (Å, degrees): 6.7061 5.2690 8.4910 90.00 107.59 90.00
Element x y z (fractional)
Ba  0.2162  0.0000  0.3633
Ba  0.7838  0.5000  0.6367
Ca  0.2883  0.9954  0.8842
Ca  0.7117  0.4954  0.1158
C  0.2501  0.4838  0.6194
C  0.2512  0.5047  0.1173
C  0.7488  0.0047  0.8827
C  0.7499  0.9838  0.3806
O  0.0819  0.4612  0.1543
O  0.1862  0.2601  0.6502
O  0.1906  0.6823  0.6835
O  0.3242  0.7343  0.1172
O  0.3596  0.5070  0.5181
O  0.3609  0.3167  0.0859
O  0.6391  0.8167  0.9141
O  0.6404  0.0070  0.4819
O  0.6758  0.2343  0.8828
O  0.8094  0.1823  0.3165
O  0.8138  0.7601  0.3498
O  0.9181  0.9612  0.8457